Calculated X-ray powder pattern
Compound: Sm7Y12Tm
Radiation: Cu Kα (λ = 1.5418 Å)
Structure: the GGA-PBE geometry in Alexandria

Peak list (12 most intense, 2θ from 10° to 80°, sorted by position)
- d = 3.524 Å, I 314, (4 1 0)
- d = 3.254 Å, I 1000, (5 -2 1)
- d = 2.971 Å, I 862, (3 -2 2)
- d = 2.785 Å, I 232, (2 4 1)
- d = 2.709 Å, I 645, (4 -1 2)
- d = 2.692 Å, I 859, (6 0 0)
- d = 2.506 Å, I 419, (5 -3 2)
- d = 2.185 Å, I 446, (3 5 1)
- d = 2.093 Å, I 232, (3 4 2)
- d = 1.908 Å, I 356, (1 4 3)
- d = 1.594 Å, I 241, (11 -8 1)
- d = 1.556 Å, I 187, (1 7 3)

Structure:
a b c (Å): 18.6484 18.6484 6.8025
angles (deg): 90.00 90.00 120.00
Space group R-3 (No. 148, hexagonal axes)
Unique sites:
Sm  0.0000  0.0000  0.0000 [3 per cell]
Sm  0.0075  0.8516  0.2847 [18 per cell]
Y  0.0002  0.2135  0.2095 [18 per cell]
Y  0.0072  0.4700  0.2375 [18 per cell]
Tm  0.0000  0.0000  0.5000 [3 per cell]